No. 1
Starting from a DFT-relaxed cell (GGA-PBE, Alexandria), the powder XRD pattern of TbDyY2Tl2 was computed for Cu Ka.

Crystal structure
Cell: 5.099 9.992 6.849 Å, 90.00 90.00 90.00°
Positions (direct):
Tb1 0.000 0.043 0.000
Tb2 0.000 0.957 0.500
Dy1 0.500 0.188 0.719
Dy2 0.500 0.812 0.219
Y1 0.000 0.312 0.376
Y2 0.000 0.688 0.876
Y3 0.500 0.456 0.093
Y4 0.500 0.544 0.593
Tl1 0.000 0.367 0.837
Tl2 0.000 0.633 0.337
Tl3 0.500 0.133 0.256
Tl4 0.500 0.867 0.756

Principal peaks in the range 15° ≤ 2θ ≤ 90°, in order of rising 2θ:
2θ (°)	d (Å)	Rel. int.
29.83	2.995	18
31.47	2.843	61
31.68	2.825	20
32.10	2.788	100
32.75	2.734	87
34.74	2.583	43
35.20	2.549	61
37.67	2.388	25
52.51	1.743	19
59.95	1.543	21


No. 2
Starting from a DFT-relaxed cell (GGA-PBE, Alexandria), the powder XRD pattern of Tb3Dy5Tm4 was computed for Cu Ka.

Crystal structure
Cell: 6.097 7.045 8.615 Å, 90.02 90.06 90.11°
Positions (direct):
Tb1 0.000 0.000 0.000
Tb2 0.166 0.749 0.666
Tb3 0.834 0.251 0.334
Dy1 0.000 0.500 0.000
Dy2 0.333 0.000 0.334
Dy3 0.499 0.251 0.000
Dy4 0.501 0.749 0.000
Dy5 0.667 0.000 0.666
Tm1 0.167 0.251 0.666
Tm2 0.334 0.500 0.334
Tm3 0.666 0.500 0.666
Tm4 0.833 0.749 0.334

Principal peaks in the range 15° ≤ 2θ ≤ 90°, in order of rising 2θ:
2θ (°)	d (Å)	Rel. int.
31.12	2.874	100
36.09	2.489	51
51.95	1.760	30
61.78	1.502	21
61.85	1.500	21
64.85	1.438	6
64.93	1.436	6
84.84	1.143	7
84.96	1.142	7
87.69	1.113	10


No. 3
Starting from a DFT-relaxed cell (GGA-PBE, Alexandria), the powder XRD pattern of Tb7Dy5Tm was computed for Cu Ka.

Crystal structure
Cell: 8.658 8.658 8.658 Å, 134.89 100.17 96.76°
Positions (direct):
Tb1 0.000 0.000 0.000
Tb2 0.001 0.501 0.500
Tb3 0.080 0.752 0.328
Tb4 0.308 0.308 0.000
Tb5 0.424 0.752 0.672
Tb6 0.581 0.251 0.330
Tb7 0.922 0.251 0.670
Dy1 0.276 0.272 0.541
Dy2 0.276 0.735 0.004
Dy3 0.500 0.000 0.500
Dy4 0.731 0.272 0.996
Dy5 0.731 0.735 0.459
Tm1 0.692 0.692 0.000

Principal peaks in the range 15° ≤ 2θ ≤ 90°, in order of rising 2θ:
2θ (°)	d (Å)	Rel. int.
26.85	3.321	26
27.57	3.235	30
31.10	2.876	100
31.38	2.850	61
31.74	2.819	81
35.14	2.554	81
35.90	2.501	27
56.93	1.617	27
57.98	1.591	34
66.31	1.410	25


No. 4
Starting from a DFT-relaxed cell (GGA-PBE, Alexandria), the powder XRD pattern of Tb5DyTm6 was computed for Cu Ka.

Crystal structure
Cell: 6.091 6.091 11.618 Å, 95.00 95.00 119.95°
Positions (direct):
Tb1 0.000 0.000 0.000
Tb2 0.167 0.833 0.500
Tb3 0.333 0.667 0.000
Tb4 0.667 0.333 0.000
Tb5 0.833 0.167 0.500
Dy1 0.500 0.500 0.500
Tm1 0.084 0.417 0.250
Tm2 0.249 0.249 0.750
Tm3 0.417 0.084 0.250
Tm4 0.583 0.916 0.750
Tm5 0.751 0.751 0.250
Tm6 0.916 0.583 0.750

Principal peaks in the range 15° ≤ 2θ ≤ 90°, in order of rising 2θ:
2θ (°)	d (Å)	Rel. int.
31.16	2.871	100
31.27	2.860	33
36.16	2.484	67
51.99	1.759	24
52.15	1.754	24
61.88	1.499	24
61.95	1.498	19
62.08	1.495	14
64.97	1.435	12
84.99	1.141	12


No. 5
Starting from a DFT-relaxed cell (GGA-PBE, Alexandria), the powder XRD pattern of TbDyTm4 was computed for Cu Ka.

Crystal structure
Cell: 3.434 5.541 9.595 Å, 90.00 90.00 90.00°
Positions (direct):
Tb1 0.000 0.000 0.000
Dy1 0.000 0.500 0.500
Tm1 0.500 0.000 0.334
Tm2 0.500 0.000 0.666
Tm3 0.500 0.500 0.167
Tm4 0.500 0.500 0.833

Principal peaks in the range 15° ≤ 2θ ≤ 90°, in order of rising 2θ:
2θ (°)	d (Å)	Rel. int.
32.05	2.792	89
32.32	2.770	100
41.90	2.156	13
46.16	1.967	33
57.47	1.604	34
57.64	1.599	19
63.78	1.459	29
67.64	1.385	12
76.83	1.241	15
82.41	1.170	14


No. 6
Starting from a DFT-relaxed cell (GGA-PBE, Alexandria), the powder XRD pattern of Tb6Dy3Tm2 was computed for Cu Ka.

Crystal structure
Cell: 31.733 31.733 31.733 Å, 6.39 6.39 6.39°
Positions (direct):
Tb1 0.091 0.091 0.091
Tb2 0.182 0.182 0.182
Tb3 0.364 0.364 0.364
Tb4 0.636 0.636 0.636
Tb5 0.818 0.818 0.818
Tb6 0.909 0.909 0.909
Dy1 0.000 0.000 0.000
Dy2 0.272 0.272 0.272
Dy3 0.728 0.728 0.728
Tm1 0.455 0.455 0.455
Tm2 0.545 0.545 0.545

Principal peaks in the range 15° ≤ 2θ ≤ 90°, in order of rising 2θ:
2θ (°)	d (Å)	Rel. int.
31.00	2.885	100
35.95	2.498	51
51.70	1.768	18
51.81	1.765	18
61.53	1.507	32
61.65	1.505	11
64.57	1.443	9
84.43	1.147	9
87.18	1.118	8
87.35	1.116	8


No. 7
Starting from a DFT-relaxed cell (GGA-PBE, Alexandria), the powder XRD pattern of Tb8Dy3Tm3 was computed for Cu Ka.

Crystal structure
Cell: 9.562 9.562 9.562 Å, 146.07 111.90 78.31°
Positions (direct):
Tb1 0.057 0.397 0.660
Tb2 0.064 0.222 0.841
Tb3 0.263 0.603 0.660
Tb4 0.381 0.222 0.159
Tb5 0.619 0.778 0.841
Tb6 0.737 0.397 0.340
Tb7 0.936 0.778 0.159
Tb8 0.943 0.603 0.340
Dy1 0.320 0.820 0.500
Dy2 0.500 0.500 0.000
Dy3 0.680 0.180 0.500
Tm1 0.000 0.000 0.000
Tm2 0.298 0.000 0.298
Tm3 0.702 0.000 0.702

Principal peaks in the range 15° ≤ 2θ ≤ 90°, in order of rising 2θ:
2θ (°)	d (Å)	Rel. int.
29.34	3.044	10
30.12	2.967	23
30.90	2.894	19
32.11	2.788	100
34.24	2.619	34
45.14	2.009	13
57.21	1.610	13
60.86	1.522	7
61.70	1.503	8
63.04	1.475	10


No. 8
Starting from a DFT-relaxed cell (GGA-PBE, Alexandria), the powder XRD pattern of Tb7Dy2Tm3 was computed for Cu Ka.

Crystal structure
Cell: 5.734 3.558 18.559 Å, 90.00 93.76 90.00°
Positions (direct):
Tb1 0.000 0.000 0.000
Tb2 0.180 0.500 0.180
Tb3 0.258 0.500 0.536
Tb4 0.323 0.000 0.856
Tb5 0.677 0.000 0.144
Tb6 0.742 0.500 0.464
Tb7 0.820 0.500 0.820
Dy1 0.295 0.500 0.704
Dy2 0.705 0.500 0.296
Tm1 0.218 0.000 0.368
Tm2 0.500 0.500 0.000
Tm3 0.782 0.000 0.632

Principal peaks in the range 15° ≤ 2θ ≤ 90°, in order of rising 2θ:
2θ (°)	d (Å)	Rel. int.
28.93	3.086	32
30.81	2.902	26
31.30	2.858	64
31.46	2.844	100
31.72	2.821	34
32.03	2.794	36
32.54	2.752	29
33.89	2.645	36
34.90	2.571	34
61.39	1.510	21


No. 9
Starting from a DFT-relaxed cell (GGA-PBE, Alexandria), the powder XRD pattern of TbDy12Tm7 was computed for Cu Ka.

Crystal structure
Cell: 10.881 10.881 10.881 Å, 116.01 116.01 116.01°
Positions (direct):
Tb1 0.000 0.000 0.000
Dy1 0.001 0.423 0.211
Dy2 0.211 0.001 0.423
Dy3 0.232 0.296 0.753
Dy4 0.247 0.768 0.704
Dy5 0.296 0.753 0.232
Dy6 0.423 0.211 0.001
Dy7 0.577 0.789 0.999
Dy8 0.704 0.247 0.768
Dy9 0.753 0.232 0.296
Dy10 0.768 0.704 0.247
Dy11 0.789 0.999 0.577
Dy12 0.999 0.577 0.789
Tm1 0.131 0.298 0.435
Tm2 0.298 0.435 0.131
Tm3 0.435 0.131 0.298
Tm4 0.500 0.500 0.500
Tm5 0.565 0.869 0.702
Tm6 0.702 0.565 0.869
Tm7 0.869 0.702 0.565

Principal peaks in the range 15° ≤ 2θ ≤ 90°, in order of rising 2θ:
2θ (°)	d (Å)	Rel. int.
25.54	3.488	33
27.83	3.206	99
30.86	2.898	100
32.60	2.747	32
33.64	2.664	97
33.85	2.648	66
36.62	2.454	39
41.86	2.158	57
58.57	1.576	34
60.69	1.526	38


No. 10
Starting from a DFT-relaxed cell (GGA-PBE, Alexandria), the powder XRD pattern of Tb14DyTm was computed for Cu Ka.

Crystal structure
Cell: 7.101 7.101 10.024 Å, 90.00 90.00 90.00°
Positions (direct):
Tb1 0.000 0.000 0.000
Tb2 0.000 0.500 0.000
Tb3 0.000 0.500 0.500
Tb4 0.250 0.250 0.251
Tb5 0.250 0.250 0.749
Tb6 0.250 0.750 0.251
Tb7 0.250 0.750 0.749
Tb8 0.500 0.000 0.000
Tb9 0.500 0.000 0.500
Tb10 0.500 0.500 0.000
Tb11 0.750 0.250 0.251
Tb12 0.750 0.250 0.749
Tb13 0.750 0.750 0.251
Tb14 0.750 0.750 0.749
Dy1 0.000 0.000 0.500
Tm1 0.500 0.500 0.500

Principal peaks in the range 15° ≤ 2θ ≤ 90°, in order of rising 2θ:
2θ (°)	d (Å)	Rel. int.
30.86	2.897	100
35.79	2.509	51
51.51	1.774	36
61.26	1.513	43
64.30	1.449	12
75.78	1.255	4
75.94	1.253	2
84.08	1.151	18
86.75	1.123	11
86.88	1.121	6


No. 11
Starting from a DFT-relaxed cell (GGA-PBE, Alexandria), the powder XRD pattern of Tb2Dy3Tm8 was computed for Cu Ka.

Crystal structure
Cell: 10.778 10.778 5.504 Å, 90.02 90.02 40.76°
Positions (direct):
Tb1 0.241 0.241 0.499
Tb2 0.759 0.759 0.501
Dy1 0.000 0.000 0.500
Dy2 0.285 0.715 0.000
Dy3 0.715 0.285 0.000
Tm1 0.132 0.132 0.000
Tm2 0.178 0.604 0.500
Tm3 0.334 0.334 0.000
Tm4 0.396 0.822 0.500
Tm5 0.604 0.178 0.500
Tm6 0.666 0.666 0.000
Tm7 0.822 0.396 0.500
Tm8 0.868 0.868 0.000

Principal peaks in the range 15° ≤ 2θ ≤ 90°, in order of rising 2θ:
2θ (°)	d (Å)	Rel. int.
25.31	3.519	18
29.90	2.988	27
31.13	2.873	30
32.54	2.752	39
33.92	2.643	100
35.54	2.526	13
41.67	2.168	10
48.95	1.861	11
58.94	1.567	21
65.32	1.429	10


No. 12
Starting from a DFT-relaxed cell (GGA-PBE, Alexandria), the powder XRD pattern of TbDyTm2 was computed for Cu Ka.

Crystal structure
Cell: 6.209 7.188 11.158 Å, 90.00 90.00 90.00°
Positions (direct):
Tb1 0.166 0.249 0.376
Tb2 0.166 0.751 0.876
Tb3 0.834 0.249 0.124
Tb4 0.834 0.751 0.624
Dy1 0.333 0.500 0.125
Dy2 0.333 0.500 0.625
Dy3 0.667 0.500 0.375
Dy4 0.667 0.500 0.875
Tm1 0.168 0.248 0.874
Tm2 0.168 0.752 0.374
Tm3 0.333 0.000 0.125
Tm4 0.333 0.000 0.625
Tm5 0.667 0.000 0.375
Tm6 0.667 0.000 0.875
Tm7 0.832 0.248 0.626
Tm8 0.832 0.752 0.126

Principal peaks in the range 15° ≤ 2θ ≤ 90°, in order of rising 2θ:
2θ (°)	d (Å)	Rel. int.
28.72	3.108	24
32.09	2.790	24
32.99	2.715	100
43.60	2.076	16
50.81	1.797	7
50.92	1.793	13
57.77	1.596	20
61.43	1.509	23
61.94	1.498	11
84.28	1.149	9


No. 13
Starting from a DFT-relaxed cell (GGA-PBE, Alexandria), the powder XRD pattern of TbDy2Tm was computed for Cu Ka.

Crystal structure
Cell: 5.591 7.220 6.238 Å, 90.00 90.00 90.00°
Positions (direct):
Tb1 0.250 0.250 0.166
Tb2 0.750 0.750 0.834
Dy1 0.250 0.001 0.667
Dy2 0.250 0.499 0.667
Dy3 0.750 0.501 0.333
Dy4 0.750 0.999 0.333
Tm1 0.250 0.750 0.167
Tm2 0.750 0.250 0.833

Principal peaks in the range 15° ≤ 2θ ≤ 90°, in order of rising 2θ:
2θ (°)	d (Å)	Rel. int.
28.59	3.123	24
32.01	2.796	24
32.85	2.726	100
43.45	2.083	15
50.63	1.803	20
57.59	1.600	20
61.17	1.515	23
61.64	1.505	11
83.81	1.154	9
88.51	1.105	8